(1)
# MgMn6O10F2
Calculated powder XRD pattern, Cu Kα, 1.54184 Å. Input: a DFT-relaxed cell (GGA+U, the Materials Project).
Neutral-atom scattering factors, no anomalous dispersion.

Principal peaks in the range 2θ from 15° to 90°, in order of falling intensity:
2theta  Rel. int.  index
26.57  100  0 2 1
25.63  98  0 0 3
35.31  56  1 -1 1
35.47  55  1 1 -1
52.73  36  1 3 3
52.80  25  1 3 0
62.30  23  2 0 0
53.00  21  -1 3 3
40.48  21  1 2 1
54.72  18  0 4 2

```
data_MgMn6O10F2
_chemical_formula_sum 'Mg1 Mn6 O10 F2'
_cell_length_a 2.981
_cell_length_b 6.710
_cell_length_c 10.941
_cell_angle_alpha 72.37
_cell_angle_beta 89.57
_cell_angle_gamma 89.88
_symmetry_space_group_name_H-M 'P 1'
_symmetry_Int_Tables_number 1
loop_
_symmetry_equiv_pos_as_xyz
'x,y,z'
loop_
_atom_site_label
_atom_site_type_symbol
_atom_site_fract_x
_atom_site_fract_y
_atom_site_fract_z
Mg1 Mg 0.000 0.000 0.000
Mn1 Mn 0.479 0.985 0.489
Mn2 Mn 0.483 0.338 0.787
Mn3 Mn 0.494 0.617 0.173
Mn4 Mn 0.970 0.796 0.825
Mn5 Mn 0.982 0.485 0.479
Mn6 Mn 0.992 0.152 0.194
O1 O 0.479 0.433 0.597
O2 O 0.486 0.545 0.357
O3 O 0.488 0.095 0.307
O4 O 0.495 0.160 0.068
O5 O 0.499 0.787 0.982
O6 O 0.979 0.171 0.497
O7 O 0.980 0.504 0.816
O8 O 0.981 0.797 0.485
O9 O 0.984 0.131 0.814
O10 O 0.994 0.455 0.159
F1 F 0.470 0.878 0.682
F2 F 0.994 0.826 0.186
```

***

(2)
# MgMn6O10F2
Calculated powder XRD pattern, Cu Kα, 1.54184 Å. Input: a DFT-relaxed cell (GGA+U, the Materials Project).
Neutral-atom scattering factors, no anomalous dispersion.

Principal peaks in the range 2θ from 15° to 90°, in order of falling intensity:
2theta  Rel. int.  index
23.49  100  0 0 3
27.89  87  2 0 -1
35.05  56  1 1 1
35.57  45  1 1 -2
54.84  38  3 1 -3
31.50  30  0 0 4
55.41  26  1 1 5
38.43  24  1 1 2
41.43  24  2 1 -1
50.03  23  1 1 -5

```
data_MgMn6O10F2
_chemical_formula_sum 'Mg1 Mn6 O10 F2'
_cell_length_a 6.407
_cell_length_b 2.976
_cell_length_c 11.653
_cell_angle_alpha 90.00
_cell_angle_beta 102.87
_cell_angle_gamma 90.00
_symmetry_space_group_name_H-M 'P 1 m 1'
_symmetry_Int_Tables_number 6
loop_
_symmetry_equiv_pos_as_xyz
'x,y,z'
'x,-y,z'
loop_
_atom_site_label
_atom_site_type_symbol
_atom_site_fract_x
_atom_site_fract_y
_atom_site_fract_z
Mg1 Mg 0.000 0.000 0.000
Mn1 Mn 0.002 0.500 0.509
Mn2 Mn 0.121 0.000 0.797
Mn3 Mn 0.378 0.500 0.204
Mn4 Mn 0.493 0.000 0.490
Mn5 Mn 0.611 0.500 0.802
Mn6 Mn 0.880 0.000 0.231
O1 O 0.068 0.500 0.691
O2 O 0.153 0.500 0.919
O3 O 0.167 0.000 0.173
O4 O 0.200 0.000 0.513
O5 O 0.425 0.000 0.813
O6 O 0.447 0.500 0.385
O7 O 0.564 0.000 0.189
O8 O 0.806 0.000 0.510
O9 O 0.817 0.000 0.828
O10 O 0.935 0.500 0.337
F1 F 0.548 0.500 0.616
F2 F 0.832 0.500 0.057
```

***

(3)
# MgMn12O14F10
Calculated powder XRD pattern, Cu Kα, 1.54184 Å. Input: a DFT-relaxed cell (GGA+U, the Materials Project).
Neutral-atom scattering factors, no anomalous dispersion.

Principal peaks in the range 2θ from 15° to 90°, in order of falling intensity:
2theta  Rel. int.  index
29.86  100  1 1 -3
24.18  76  1 -1 0
30.01  32  1 1 3
36.00  32  0 2 3
52.84  29  2 2 -3
63.53  21  0 2 9
52.05  20  2 0 -6
52.33  16  2 0 6
40.68  16  1 -2 3
52.72  16  -2 2 3

```
data_MgMn12O14F10
_chemical_formula_sum 'Mg1 Mn12 O14 F10'
_cell_length_a 4.813
_cell_length_b 5.715
_cell_length_c 15.348
_cell_angle_alpha 90.09
_cell_angle_beta 90.29
_cell_angle_gamma 90.21
_symmetry_space_group_name_H-M 'P 1'
_symmetry_Int_Tables_number 1
loop_
_symmetry_equiv_pos_as_xyz
'x,y,z'
loop_
_atom_site_label
_atom_site_type_symbol
_atom_site_fract_x
_atom_site_fract_y
_atom_site_fract_z
Mg1 Mg 0.000 0.000 0.000
Mn1 Mn 0.013 0.745 0.837
Mn2 Mn 0.021 0.771 0.510
Mn3 Mn 0.035 0.464 0.011
Mn4 Mn 0.045 0.426 0.351
Mn5 Mn 0.046 0.741 0.190
Mn6 Mn 0.489 0.961 0.342
Mn7 Mn 0.504 0.967 0.993
Mn8 Mn 0.505 0.258 0.831
Mn9 Mn 0.506 0.265 0.171
Mn10 Mn 0.507 0.946 0.663
Mn11 Mn 0.508 0.243 0.498
Mn12 Mn 0.999 0.440 0.675
O1 O 0.210 0.720 0.619
O2 O 0.214 0.479 0.784
O3 O 0.225 0.738 0.952
O4 O 0.234 0.485 0.457
O5 O 0.235 0.491 0.121
O6 O 0.260 0.705 0.298
O7 O 0.281 0.214 0.945
O8 O 0.284 0.004 0.445
O9 O 0.288 0.194 0.278
O10 O 0.713 0.217 0.723
O11 O 0.722 0.990 0.558
O12 O 0.724 0.217 0.396
O13 O 0.736 0.215 0.058
O14 O 0.758 0.981 0.891
F1 F 0.246 0.986 0.107
F2 F 0.265 0.221 0.603
F3 F 0.272 0.978 0.770
F4 F 0.725 0.967 0.230
F5 F 0.753 0.710 0.736
F6 F 0.754 0.477 0.563
F7 F 0.772 0.749 0.064
F8 F 0.776 0.484 0.906
F9 F 0.776 0.734 0.399
F10 F 0.800 0.463 0.242
```

***

(4)
# MgMn6O10F2
Calculated powder XRD pattern, Cu Kα, 1.54184 Å. Input: a DFT-relaxed cell (GGA+U, the Materials Project).
Neutral-atom scattering factors, no anomalous dispersion.

Principal peaks in the range 2θ from 15° to 90°, in order of falling intensity:
2theta  Rel. int.  index
23.63  100  -1 1 1
27.00  75  1 1 -1
35.53  41  1 0 2
63.64  20  1 2 2
35.74  18  0 1 -3
53.75  17  1 2 -4
35.40  17  0 2 0
41.43  16  2 0 1
36.09  15  2 -1 1
50.62  15  3 -2 0

```
data_MgMn6O10F2
_chemical_formula_sum 'Mg1 Mn6 O10 F2'
_cell_length_a 5.680
_cell_length_b 5.882
_cell_length_c 7.660
_cell_angle_alpha 107.86
_cell_angle_beta 99.58
_cell_angle_gamma 110.29
_symmetry_space_group_name_H-M 'P 1'
_symmetry_Int_Tables_number 1
loop_
_symmetry_equiv_pos_as_xyz
'x,y,z'
loop_
_atom_site_label
_atom_site_type_symbol
_atom_site_fract_x
_atom_site_fract_y
_atom_site_fract_z
Mg1 Mg 0.000 0.000 0.000
Mn1 Mn 0.026 0.482 0.977
Mn2 Mn 0.030 0.054 0.518
Mn3 Mn 0.310 0.576 0.370
Mn4 Mn 0.372 0.022 0.828
Mn5 Mn 0.634 0.026 0.178
Mn6 Mn 0.683 0.463 0.636
O1 O 0.040 0.694 0.823
O2 O 0.110 0.171 0.804
O3 O 0.253 0.876 0.554
O4 O 0.318 0.354 0.509
O5 O 0.363 0.714 0.171
O6 O 0.410 0.163 0.103
O7 O 0.597 0.874 0.907
O8 O 0.653 0.326 0.837
O9 O 0.770 0.186 0.454
O10 O 0.973 0.324 0.169
F1 F 0.709 0.708 0.494
F2 F 0.908 0.868 0.209
```